Calculated X-ray powder pattern
Compound: CsTbHgF6
Radiation: Cu Kα (λ = 1.5418 Å)
Structure: a crystal structure in Alexandria, relaxed with PBE
No peak broadening, texture or thermal motion is included.

Structural model:
Cell lengths 8.3564, 8.3564, 8.3564 Å; angles 123.06, 118.80, 88.44 degrees
Fractional positions:
Cs1 0.3421 0.0921 0.2500
Cs2 0.6579 0.9079 0.7500
Tb1 0.0000 0.5000 0.5000
Tb2 0.5000 0.5000 0.0000
Hg1 0.0000 0.0000 0.5000
Hg2 0.0000 0.5000 0.0000
F1 0.0810 0.4201 0.2584
F2 0.0810 0.8225 0.6609
F3 0.0883 0.8383 0.2500
F4 0.2997 0.5497 0.7500
F5 0.3384 0.1775 0.7584
F6 0.3384 0.5799 0.1609
F7 0.6616 0.4201 0.8391
F8 0.6616 0.8225 0.2416
F9 0.7003 0.4503 0.2500
F10 0.9117 0.1617 0.7500
F11 0.9190 0.1775 0.3391
F12 0.9190 0.5799 0.7416

Largest 10 diffraction maxima, in order of rising 2θ, 10 to 80 degrees two-theta:
2θ 12.76, d 6.936, intensity 56
2θ 24.63, d 3.614, intensity 58
2θ 24.88, d 3.578, intensity 100
2θ 25.69, d 3.468, intensity 44
2θ 25.79, d 3.455, intensity 71
2θ 26.88, d 3.317, intensity 75
2θ 38.96, d 2.312, intensity 24
2θ 40.78, d 2.213, intensity 23
2θ 43.38, d 2.086, intensity 62
2θ 51.01, d 1.790, intensity 26


Calculated X-ray powder pattern
Compound: CsHgTeF6
Radiation: Cu Kα (λ = 1.5418 Å)
Structure: a crystal structure in Alexandria, relaxed with PBE
No peak broadening, texture or thermal motion is included.

Structural model:
Cell lengths 4.8552, 6.7733, 6.7780 Å; angles 60.90, 89.50, 89.54 degrees
Fractional positions:
Cs1 0.0000 0.0000 0.0000
Hg1 0.4435 0.3333 0.3304
Te1 0.5982 0.6628 0.6667
F1 0.4542 0.9528 0.6984
F2 0.4571 0.3343 0.9661
F3 0.4595 0.7064 0.3396
F4 0.8563 0.4592 0.6248
F5 0.8576 0.6256 0.9047
F6 0.8593 0.8968 0.4706

Largest 10 diffraction maxima, in order of rising 2θ, 10 to 80 degrees two-theta:
2θ 23.70, d 3.754, intensity 62
2θ 23.76, d 3.745, intensity 100
2θ 25.95, d 3.434, intensity 41
2θ 26.31, d 3.387, intensity 79
2θ 35.44, d 2.533, intensity 38
2θ 36.04, d 2.492, intensity 18
2θ 44.46, d 2.038, intensity 21
2θ 44.91, d 2.018, intensity 33
2θ 45.79, d 1.982, intensity 20
2θ 45.99, d 1.973, intensity 25


Calculated X-ray powder pattern
Compound: CsTlHg2F8
Radiation: Cu Kα (λ = 1.5418 Å)
Structure: a crystal structure in Alexandria, relaxed with PBE
No peak broadening, texture or thermal motion is included.

Structural model:
Cell lengths 4.4933, 5.7180, 9.0303 Å; angles 85.07, 88.85, 87.78 degrees
Fractional positions:
Cs1 0.0000 0.0000 0.0000
Tl1 0.0000 0.0000 0.5000
Hg1 0.4896 0.5137 0.7076
Hg2 0.5104 0.4863 0.2924
F1 0.0132 0.2544 0.6595
F2 0.0302 0.2421 0.2940
F3 0.4773 0.7664 0.5206
F4 0.4905 0.2996 0.9014
F5 0.5095 0.7004 0.0986
F6 0.5227 0.2336 0.4794
F7 0.9698 0.7579 0.7060
F8 0.9868 0.7456 0.3405

Largest 10 diffraction maxima, in order of rising 2θ, 10 to 80 degrees two-theta:
2θ 24.15, d 3.685, intensity 100
2θ 24.80, d 3.591, intensity 96
2θ 25.72, d 3.463, intensity 91
2θ 26.28, d 3.392, intensity 60
2θ 27.84, d 3.204, intensity 42
2θ 28.32, d 3.151, intensity 44
2θ 31.43, d 2.846, intensity 32
2θ 40.17, d 2.245, intensity 39
2θ 40.51, d 2.227, intensity 39
2θ 42.06, d 2.148, intensity 31